[1]
Starting from DFT lattice parameters and positions (PBE), the powder XRD pattern of NdSi4Ni4 was computed for λ = 1.5418 Å (Cu Kα).
Intensities are scaled so that the largest is 100.

Largest 12 diffraction maxima, sorted by position, 10 to 80 degrees two-theta:
2θ 27.6, intensity 12
2θ 31.5, intensity 12
2θ 31.8, intensity 25
2θ 37.1, intensity 100
2θ 37.8, intensity 40
2θ 39.1, intensity 11
2θ 47.2, intensity 14
2θ 50.8, intensity 11
2θ 59.8, intensity 12
2θ 60.3, intensity 19
2θ 65.7, intensity 12
2θ 66.5, intensity 20

```
NdSi4Ni4
1.0
5.688 0.000 0.000
0.000 5.688 0.000
0.000 0.000 7.859
Nd Si Ni
2 8 8
Direct
0.250 0.750 0.250 Nd
0.750 0.250 0.750 Nd
0.041 0.250 0.076 Si
0.250 0.041 0.576 Si
0.250 0.459 0.576 Si
0.459 0.250 0.076 Si
0.541 0.750 0.924 Si
0.750 0.541 0.424 Si
0.750 0.959 0.424 Si
0.959 0.750 0.924 Si
0.024 0.250 0.370 Ni
0.250 0.024 0.870 Ni
0.250 0.476 0.870 Ni
0.476 0.250 0.370 Ni
0.524 0.750 0.630 Ni
0.750 0.524 0.130 Ni
0.750 0.976 0.130 Ni
0.976 0.750 0.630 Ni
```



[2]
Starting from DFT lattice parameters and positions (PBE), the powder XRD pattern of DyMgSc5 was computed for λ = 1.5418 Å (Cu Kα).
Intensities are scaled so that the largest is 100.

Largest 12 diffraction maxima, sorted by position, 10 to 80 degrees two-theta:
2θ 10.4, intensity 60
2θ 21.5, intensity 38
2θ 28.8, intensity 40
2θ 31.5, intensity 12
2θ 34.1, intensity 100
2θ 38.2, intensity 37
2θ 42.4, intensity 12
2θ 44.3, intensity 12
2θ 50.3, intensity 12
2θ 55.1, intensity 12
2θ 58.4, intensity 18
2θ 66.5, intensity 26

```
DyMgSc5
1.0
4.711 0.000 0.000
0.000 4.711 0.000
0.000 0.000 8.533
Dy Mg Sc
1 1 5
Direct
0.000 0.000 0.000 Dy
0.500 0.500 0.500 Mg
0.000 0.500 0.271 Sc
0.000 0.500 0.729 Sc
0.500 0.000 0.271 Sc
0.500 0.000 0.729 Sc
0.500 0.500 0.000 Sc
```